No. 1
Diffraction record for PmPuO4. The powder diffraction line list is simulated, not measured: it uses a cell relaxed with PBE and copper Kα.
Peak positions follow from Bragg's law for the DFT cell and can differ from measured ones.

Peak list (12 most intense, 2θ = 10–90°, in order of falling intensity)
2θ = 28.26°, I = 100.0
2θ = 32.99°, I = 45.8
2θ = 46.80°, I = 34.5
2θ = 47.88°, I = 31.4
2θ = 29.08°, I = 31.0
2θ = 56.05°, I = 30.5
2θ = 55.57°, I = 15.6
2θ = 77.99°, I = 15.1
2θ = 57.00°, I = 14.5
2θ = 75.53°, I = 12.8
2θ = 87.72°, I = 11.0
2θ = 69.19°, I = 10.1

Cell and atoms:
Lattice parameters (Å, degrees): 6.5369 6.5369 6.5369 34.55 34.55 34.55
Positions (direct):
Pm 0.0000 0.0000 0.0000
Pu 0.5000 0.5000 0.5000
O 0.1339 0.1339 0.1339
O 0.3838 0.3838 0.3838
O 0.6162 0.6162 0.6162
O 0.8661 0.8661 0.8661

***

No. 2
Diffraction record for PmPuO6. The powder diffraction line list is simulated, not measured: it uses a cell relaxed with PBE and copper Kα.
Peak positions follow from Bragg's law for the DFT cell and can differ from measured ones.

Peak list (12 most intense, 2θ = 10–90°, in order of falling intensity)
2θ = 20.74°, I = 100.0
2θ = 29.49°, I = 58.4
2θ = 47.46°, I = 44.0
2θ = 52.31°, I = 24.6
2θ = 65.35°, I = 20.9
2θ = 42.19°, I = 20.4
2θ = 36.32°, I = 15.1
2θ = 84.65°, I = 13.8
2θ = 61.20°, I = 12.7
2θ = 69.37°, I = 11.6
2θ = 17.93°, I = 10.3
2θ = 80.91°, I = 9.5

Cell and atoms:
Lattice parameters (Å, degrees): 6.0599 6.0599 6.0599 59.96 59.96 59.96
Positions (direct):
Pm 0.0000 0.0000 0.0000
Pu 0.5000 0.5000 0.5000
O 0.2681 0.2760 0.7288
O 0.2712 0.7319 0.7240
O 0.2760 0.7288 0.2681
O 0.7240 0.2712 0.7319
O 0.7288 0.2681 0.2760
O 0.7319 0.7240 0.2712

***

No. 3
Diffraction record for PmPuS2O. The powder diffraction line list is simulated, not measured: it uses a cell relaxed with PBE and copper Kα.
Peak positions follow from Bragg's law for the DFT cell and can differ from measured ones.

Peak list (12 most intense, 2θ = 10–90°, in order of falling intensity)
2θ = 26.03°, I = 100.0
2θ = 32.09°, I = 56.8
2θ = 53.60°, I = 43.9
2θ = 41.67°, I = 35.2
2θ = 25.87°, I = 25.0
2θ = 46.01°, I = 24.0
2θ = 34.57°, I = 17.1
2θ = 45.73°, I = 16.0
2θ = 12.85°, I = 13.5
2θ = 73.25°, I = 11.8
2θ = 51.56°, I = 11.6
2θ = 23.46°, I = 11.0

Cell and atoms:
Lattice parameters (Å, degrees): 3.9449 3.9449 13.7744 90.00 90.00 90.00
Positions (direct):
Pm 0.2500 0.2500 0.0878
Pm 0.7500 0.7500 0.9122
Pu 0.2500 0.2500 0.6148
Pu 0.7500 0.7500 0.3852
S 0.2500 0.2500 0.4090
S 0.2500 0.2500 0.8008
S 0.7500 0.7500 0.1992
S 0.7500 0.7500 0.5910
O 0.2500 0.7500 0.0000
O 0.7500 0.2500 0.0000

***

No. 4
Diffraction record for TbPm2PuO8. The powder diffraction line list is simulated, not measured: it uses a cell relaxed with PBE and copper Kα.
Peak positions follow from Bragg's law for the DFT cell and can differ from measured ones.

Peak list (12 most intense, 2θ = 10–90°, in order of falling intensity)
2θ = 29.08°, I = 100.0
2θ = 26.33°, I = 63.8
2θ = 28.39°, I = 53.2
2θ = 48.28°, I = 32.8
2θ = 32.71°, I = 24.6
2θ = 32.59°, I = 24.1
2θ = 32.86°, I = 23.8
2θ = 56.37°, I = 23.0
2θ = 44.60°, I = 22.3
2θ = 45.61°, I = 19.7
2θ = 45.78°, I = 19.2
2θ = 49.01°, I = 14.9

Cell and atoms:
Lattice parameters (Å, degrees): 3.9851 5.5269 7.5401 88.59 89.60 84.08
Positions (direct):
Tb 0.0000 0.0000 0.0000
Pm 0.5004 0.4888 0.7594
Pm 0.4996 0.5112 0.2406
Pu 0.0000 0.0000 0.5000
O 0.0391 0.2437 0.7295
O 0.0496 0.2186 0.2849
O 0.4292 0.7834 0.4970
O 0.4930 0.7521 0.9902
O 0.5070 0.2479 0.0098
O 0.5708 0.2166 0.5030
O 0.9504 0.7814 0.7151
O 0.9609 0.7563 0.2705

***

- Which formula does entry 4 have?
  TbPm2PuO8

***

- Number 3 is which compound?
  PmPuS2O